Computed PXRD pattern
Compound: ZnRu2
Radiation: Cu Kα
Structure: a cell relaxed with GGA-PBE
Peak positions follow from Bragg's law for the DFT cell and can differ from measured ones.

```
data_ZnRu2
_symmetry_space_group_name_H-M 'C 1 2/m 1'
_symmetry_Int_Tables_number 12
_symmetry_space_group_name_Hall '-C 2y'
_cell_length_a 9.819
_cell_length_b 2.774
_cell_length_c 6.365
_cell_angle_alpha 90.00
_cell_angle_beta 105.08
_cell_angle_gamma 90.00
loop_
_atom_site_label
_atom_site_type_symbol
_atom_site_fract_x
_atom_site_fract_y
_atom_site_fract_z
Zn1 Zn 0.195 0.000 0.135
Ru1 Ru 0.024 0.500 0.798
Ru2 Ru 0.135 0.000 0.525
```

Largest 10 diffraction maxima, in order of rising 2θ, 2θ = 5–70°:
- (1 1 1), 37.8°, 2.380 Å, rel. 229
- (2 0 2), 38.9°, 2.318 Å, rel. 123
- (4 0 -2), 41.6°, 2.169 Å, rel. 367
- (1 1 -2), 43.4°, 2.087 Å, rel. 1000
- (0 0 3), 44.2°, 2.049 Å, rel. 216
- (4 0 1), 44.4°, 2.040 Å, rel. 222
- (3 1 -3), 57.4°, 1.605 Å, rel. 58
- (5 1 -1), 57.6°, 1.601 Å, rel. 73
- (0 2 0), 67.5°, 1.387 Å, rel. 84
- (3 1 3), 69.6°, 1.350 Å, rel. 148